Record 1
Theoretical powder X-ray diffraction pattern of Ce5TlIr for copper Kα, from a crystal structure in Alexandria, relaxed with GGA-PBE.
Peak positions follow from Bragg's law for the DFT cell and can differ from measured ones.

Cell lengths 6.3626, 6.3626, 11.1852 Å; angles 110.31, 110.31, 65.14 degrees
Sites, in units of the cell vectors:
1 Ce 0.0108 0.5542 0.3480
2 Ce 0.0510 0.9490 0.7500
3 Ce 0.1954 0.4924 0.9268
4 Ce 0.4458 0.9892 0.1520
5 Ce 0.4924 0.1954 0.4268
6 Ce 0.5076 0.8046 0.5732
7 Ce 0.5542 0.0108 0.8480
8 Ce 0.8046 0.5076 0.0732
9 Ce 0.9490 0.0510 0.2500
10 Ce 0.9892 0.4458 0.6520
11 Tl 0.4499 0.5501 0.2500
12 Tl 0.5501 0.4499 0.7500
13 Ir 0.0000 0.0000 0.0000
14 Ir 0.0000 0.0000 0.5000

Peak list (10 most intense, 2θ from 5° to 70°, sorted by position)
2θ 26.26, I = 20.4; 2θ 28.85, I = 20.7; 2θ 30.10, I = 20.5; 2θ 31.01, I = 57.4; 2θ 31.91, I = 100.0; 2θ 32.24, I = 77.3; 2θ 33.52, I = 37.1; 2θ 33.93, I = 27.4; 2θ 37.28, I = 28.0; 2θ 44.30, I = 45.5

=====

Record 2
Theoretical powder X-ray diffraction pattern of Ce8Tl2Ir3 for copper Kα, from a crystal structure in Alexandria, relaxed with GGA-PBE.
Peak positions follow from Bragg's law for the DFT cell and can differ from measured ones.

Cell lengths 9.1993, 9.1993, 6.7546 Å; angles 107.49, 107.49, 46.10 degrees
Sites, in units of the cell vectors:
1 Ce 0.0910 0.0910 0.4164
2 Ce 0.1988 0.6179 0.0900
3 Ce 0.3386 0.3386 0.4828
4 Ce 0.3821 0.8012 0.9100
5 Ce 0.6179 0.1988 0.0900
6 Ce 0.6614 0.6614 0.5172
7 Ce 0.8012 0.3821 0.9100
8 Ce 0.9090 0.9090 0.5836
9 Tl 0.2355 0.2355 0.8600
10 Tl 0.7645 0.7645 0.1400
11 Ir 0.0000 0.0000 0.0000
12 Ir 0.3052 0.6948 0.5000
13 Ir 0.6948 0.3052 0.5000

Peak list (10 most intense, 2θ from 5° to 70°, sorted by position)
2θ 11.06, I = 26.1; 2θ 14.65, I = 18.2; 2θ 21.73, I = 21.0; 2θ 27.15, I = 20.7; 2θ 27.95, I = 35.1; 2θ 33.37, I = 100.0; 2θ 37.45, I = 22.8; 2θ 39.27, I = 20.4; 2θ 47.70, I = 23.8; 2θ 48.91, I = 18.8

=====

Record 3
Theoretical powder X-ray diffraction pattern of CeTm5Ir6 for copper Kα, from a crystal structure in Alexandria, relaxed with GGA-PBE.
Peak positions follow from Bragg's law for the DFT cell and can differ from measured ones.

Cell lengths 7.4713, 7.4713, 7.0456 Å; angles 90.00, 90.00, 143.06 degrees
Sites, in units of the cell vectors:
1 Ce 0.0000 0.0000 0.0000
2 Tm 0.0000 0.0000 0.5000
3 Tm 0.3310 0.6690 0.0000
4 Tm 0.3324 0.6676 0.5000
5 Tm 0.6676 0.3324 0.5000
6 Tm 0.6690 0.3310 0.0000
7 Ir 0.1656 0.8344 0.2505
8 Ir 0.1656 0.8344 0.7495
9 Ir 0.5000 0.5000 0.2515
10 Ir 0.5000 0.5000 0.7485
11 Ir 0.8344 0.1656 0.2505
12 Ir 0.8344 0.1656 0.7495

Peak list (9 most intense, 2θ from 5° to 70°, sorted by position)
2θ 26.66, I = 0.6; 2θ 37.07, I = 100.0; 2θ 38.05, I = 46.5; 2θ 51.91, I = 9.6; 2θ 54.91, I = 16.3; 2θ 66.12, I = 9.4; 2θ 66.18, I = 9.3; 2θ 68.06, I = 17.2; 2θ 68.17, I = 17.0

=====

Record 4
Theoretical powder X-ray diffraction pattern of CeY2Ir for copper Kα, from a crystal structure in Alexandria, relaxed with GGA-PBE.
Peak positions follow from Bragg's law for the DFT cell and can differ from measured ones.

Cell lengths 7.1677, 9.5274, 6.4678 Å; angles 90.00, 90.00, 90.00 degrees
Sites, in units of the cell vectors:
1 Ce 0.0418 0.2500 0.1474
2 Ce 0.4582 0.7500 0.6474
3 Ce 0.5418 0.2500 0.3526
4 Ce 0.9582 0.7500 0.8526
5 Y 0.1752 0.0644 0.6688
6 Y 0.1752 0.4356 0.6688
7 Y 0.3248 0.5644 0.1688
8 Y 0.3248 0.9356 0.1688
9 Y 0.6752 0.0644 0.8312
10 Y 0.6752 0.4356 0.8312
11 Y 0.8248 0.5644 0.3312
12 Y 0.8248 0.9356 0.3312
13 Ir 0.1269 0.7500 0.4602
14 Ir 0.3731 0.2500 0.9602
15 Ir 0.6269 0.7500 0.0398
16 Ir 0.8731 0.2500 0.5398

Peak list (10 most intense, 2θ from 5° to 70°, sorted by position)
2θ 18.63, I = 76.1; 2θ 20.71, I = 86.3; 2θ 30.01, I = 43.4; 2θ 31.38, I = 48.7; 2θ 31.78, I = 100.0; 2θ 33.84, I = 89.7; 2θ 34.24, I = 61.5; 2θ 37.82, I = 75.3; 2θ 38.67, I = 56.3; 2θ 48.02, I = 58.5

=====

Record 5
Theoretical powder X-ray diffraction pattern of Ce3YIr8 for copper Kα, from a crystal structure in Alexandria, relaxed with GGA-PBE.
Peak positions follow from Bragg's law for the DFT cell and can differ from measured ones.

Cell lengths 9.3311, 9.3311, 9.3311 Å; angles 33.58, 33.58, 33.58 degrees
Sites, in units of the cell vectors:
1 Ce 0.0000 0.0000 0.0000
2 Ce 0.1245 0.1245 0.1245
3 Ce 0.6255 0.6255 0.6255
4 Y 0.5001 0.5001 0.5001
5 Ir 0.0620 0.0620 0.5630
6 Ir 0.0620 0.5630 0.0620
7 Ir 0.0628 0.5627 0.5627
8 Ir 0.3125 0.3125 0.3125
9 Ir 0.5630 0.0620 0.0620
10 Ir 0.5627 0.0628 0.5627
11 Ir 0.5627 0.5627 0.0628
12 Ir 0.8127 0.8127 0.8127

Peak list (9 most intense, 2θ from 5° to 70°, sorted by position)
2θ 20.18, I = 22.0; 2θ 33.25, I = 16.3; 2θ 39.20, I = 100.0; 2θ 41.02, I = 54.1; 2θ 47.73, I = 11.8; 2θ 52.32, I = 5.7; 2θ 59.41, I = 6.1; 2θ 63.42, I = 32.7; 2θ 69.81, I = 30.4

=====

Record 6
Theoretical powder X-ray diffraction pattern of Ce6ZnIr for copper Kα, from a crystal structure in Alexandria, relaxed with GGA-PBE.
Peak positions follow from Bragg's law for the DFT cell and can differ from measured ones.

Cell lengths 7.6003, 9.3986, 6.3136 Å; angles 90.00, 105.37, 90.00 degrees
Sites, in units of the cell vectors:
1 Ce 0.1365 0.2108 0.3050
2 Ce 0.1365 0.7892 0.3050
3 Ce 0.1798 0.5000 0.1147
4 Ce 0.3202 0.0000 0.8853
5 Ce 0.3635 0.2892 0.6950
6 Ce 0.3635 0.7108 0.6950
7 Ce 0.6365 0.2892 0.3050
8 Ce 0.6365 0.7108 0.3050
9 Ce 0.6798 0.0000 0.1147
10 Ce 0.8202 0.5000 0.8853
11 Ce 0.8635 0.2108 0.6950
12 Ce 0.8635 0.7892 0.6950
13 Zn 0.0000 0.5000 0.5000
14 Zn 0.5000 0.0000 0.5000
15 Ir 0.0000 0.0000 0.0000
16 Ir 0.5000 0.5000 0.0000

Peak list (10 most intense, 2θ from 5° to 70°, sorted by position)
2θ 23.92, I = 100.0; 2θ 24.82, I = 85.1; 2θ 31.66, I = 42.9; 2θ 35.13, I = 69.9; 2θ 35.85, I = 68.8; 2θ 37.10, I = 60.3; 2θ 38.20, I = 60.9; 2θ 38.31, I = 43.4; 2θ 47.18, I = 33.3; 2θ 49.18, I = 29.4